# 1
The following is a theoretical X-ray powder pattern of Ba2HoRuO6. It was derived from the PBE geometry in the Materials Project, using copper Kα.

Structure:
Lattice parameters (Å, degrees): 5.9587 5.9587 5.9587 60.00 60.00 60.00
Atoms (fractional coordinates):
Ba1 0.2500 0.2500 0.2500
Ba2 0.7500 0.7500 0.7500
Ho1 0.0000 0.0000 0.0000
Ru1 0.5000 0.5000 0.5000
O1 0.2642 0.2642 0.7358
O2 0.2642 0.7358 0.2642
O3 0.2642 0.7358 0.7358
O4 0.7358 0.2642 0.2642
O5 0.7358 0.2642 0.7358
O6 0.7358 0.7358 0.2642

Largest 10 diffraction maxima, in order of falling intensity, 2θ = 5–70°:
- 2θ = 29.99°, intensity 100
- 2θ = 53.25°, intensity 40
- 2θ = 42.93°, intensity 29
- 2θ = 62.33°, intensity 18
- 2θ = 35.33°, intensity 2
- 2θ = 18.23°, intensity 2
- 2θ = 36.95°, intensity 1
- 2θ = 47.00°, intensity 1
- 2θ = 21.09°, intensity 1
- 2θ = 56.77°, intensity 1

---

# 2
The following is a theoretical X-ray powder pattern of Ba5Ho8Zn4O21. It was derived from the PBE geometry in the Materials Project, using copper Kα.

Structure:
Lattice parameters (Å, degrees): 10.2091 10.2091 10.2091 94.53 94.53 147.35
Atoms (fractional coordinates):
Ba1 0.0000 0.0000 0.0000
Ba2 0.1396 0.4646 0.6042
Ba3 0.4646 0.8604 0.3251
Ba4 0.5354 0.1396 0.6749
Ba5 0.8604 0.5354 0.3958
Ho1 0.1681 0.7526 0.9207
Ho2 0.2474 0.1681 0.4155
Ho3 0.3581 0.5887 0.9468
Ho4 0.4113 0.3581 0.7694
Ho5 0.5887 0.6419 0.2306
Ho6 0.6419 0.4113 0.0532
Ho7 0.7526 0.8319 0.5845
Ho8 0.8319 0.2474 0.0793
Zn1 0.0405 0.2503 0.2908
Zn2 0.2503 0.9595 0.2098
Zn3 0.7497 0.0405 0.7902
Zn4 0.9595 0.7497 0.7091
O1 0.0085 0.6030 0.1085
O2 0.0381 0.6285 0.6666
O3 0.0729 0.2024 0.7743
O4 0.1000 0.9915 0.5945
O5 0.2024 0.4281 0.1295
O6 0.2986 0.0729 0.8705
O7 0.3715 0.0381 0.4096
O8 0.3970 0.5055 0.4055
O9 0.4281 0.2986 0.2257
O10 0.4945 0.9000 0.8915
O11 0.5000 0.5000 0.0000
O12 0.5055 0.1000 0.1085
O13 0.5719 0.7014 0.7743
O14 0.6030 0.4945 0.5945
O15 0.6285 0.9619 0.5904
O16 0.7014 0.9271 0.1295
O17 0.7976 0.5719 0.8705
O18 0.9000 0.0085 0.4055
O19 0.9271 0.7976 0.2257
O20 0.9619 0.3715 0.3334
O21 0.9915 0.3970 0.8915

Largest 10 diffraction maxima, in order of falling intensity, 2θ = 5–70°:
- 2θ = 30.83°, intensity 100
- 2θ = 27.94°, intensity 45
- 2θ = 31.16°, intensity 42
- 2θ = 35.99°, intensity 34
- 2θ = 55.25°, intensity 19
- 2θ = 46.00°, intensity 19
- 2θ = 42.96°, intensity 18
- 2θ = 28.82°, intensity 15
- 2θ = 37.86°, intensity 14
- 2θ = 49.82°, intensity 11

---

# 3
The following is a theoretical X-ray powder pattern of BaHo2ZnO5. It was derived from the PBE geometry in the Materials Project, using copper Kα.

Structure:
Lattice parameters (Å, degrees): 12.4001 5.7419 7.1228 90.00 90.00 90.00
Atoms (fractional coordinates):
Ba1 0.1017 0.2500 0.0772
Ba2 0.3983 0.7500 0.5772
Ba3 0.6017 0.2500 0.4228
Ba4 0.8983 0.7500 0.9228
Ho1 0.0744 0.7500 0.3998
Ho2 0.2081 0.2500 0.6185
Ho3 0.2919 0.7500 0.1185
Ho4 0.4256 0.2500 0.8998
Ho5 0.5744 0.7500 0.1002
Ho6 0.7081 0.2500 0.8815
Ho7 0.7919 0.7500 0.3815
Ho8 0.9256 0.2500 0.6002
Zn1 0.1500 0.7500 0.8083
Zn2 0.3500 0.2500 0.3083
Zn3 0.6500 0.7500 0.6917
Zn4 0.8500 0.2500 0.1917
O1 0.0662 0.5009 0.6623
O2 0.0662 0.9991 0.6623
O3 0.1007 0.7500 0.0762
O4 0.2246 0.9999 0.3589
O5 0.2246 0.5001 0.3589
O6 0.2754 0.0001 0.8589
O7 0.2754 0.4999 0.8589
O8 0.3993 0.2500 0.5762
O9 0.4338 0.0009 0.1623
O10 0.4338 0.4991 0.1623
O11 0.5662 0.5009 0.8377
O12 0.5662 0.9991 0.8377
O13 0.6007 0.7500 0.4238
O14 0.7246 0.9999 0.1411
O15 0.7246 0.5001 0.1411
O16 0.7754 0.0001 0.6411
O17 0.7754 0.4999 0.6411
O18 0.8993 0.2500 0.9238
O19 0.9338 0.0009 0.3377
O20 0.9338 0.4991 0.3377

Largest 10 diffraction maxima, in order of falling intensity, 2θ = 5–70°:
- 2θ = 29.43°, intensity 100
- 2θ = 30.40°, intensity 82
- 2θ = 31.15°, intensity 54
- 2θ = 44.87°, intensity 32
- 2θ = 31.47°, intensity 22
- 2θ = 54.39°, intensity 22
- 2θ = 36.80°, intensity 18
- 2θ = 58.58°, intensity 17
- 2θ = 54.96°, intensity 16
- 2θ = 46.17°, intensity 16

---

# 4
The following is a theoretical X-ray powder pattern of BaHo2S4. It was derived from the PBE geometry in the Materials Project, using copper Kα.

Structure:
Lattice parameters (Å, degrees): 12.2829 4.0393 14.5258 90.00 90.00 90.00
Atoms (fractional coordinates):
Ba1 0.2437 0.2500 0.1606
Ba2 0.2563 0.7500 0.6606
Ba3 0.7437 0.2500 0.3394
Ba4 0.7563 0.7500 0.8394
Ho1 0.0686 0.2500 0.3913
Ho2 0.0778 0.2500 0.8980
Ho3 0.4222 0.7500 0.3980
Ho4 0.4314 0.7500 0.8913
Ho5 0.5686 0.2500 0.1087
Ho6 0.5778 0.2500 0.6020
Ho7 0.9222 0.7500 0.1020
Ho8 0.9314 0.7500 0.6087
S1 0.0216 0.7500 0.7828
S2 0.0795 0.2500 0.5763
S3 0.1239 0.7500 0.0223
S4 0.2081 0.7500 0.3372
S5 0.2919 0.2500 0.8372
S6 0.3761 0.2500 0.5223
S7 0.4205 0.7500 0.0763
S8 0.4784 0.2500 0.2828
S9 0.5216 0.7500 0.7172
S10 0.5795 0.2500 0.9237
S11 0.6239 0.7500 0.4777
S12 0.7081 0.7500 0.1628
S13 0.7919 0.2500 0.6628
S14 0.8761 0.2500 0.9777
S15 0.9205 0.7500 0.4237
S16 0.9784 0.2500 0.2172

Largest 10 diffraction maxima, in order of falling intensity, 2θ = 5–70°:
- 2θ = 24.97°, intensity 100
- 2θ = 26.27°, intensity 71
- 2θ = 36.34°, intensity 50
- 2θ = 24.51°, intensity 45
- 2θ = 44.91°, intensity 44
- 2θ = 26.41°, intensity 35
- 2θ = 44.24°, intensity 33
- 2θ = 29.71°, intensity 32
- 2θ = 36.77°, intensity 29
- 2θ = 52.04°, intensity 28